For Ac2PuCrO8, a structure optimized by DFT (GGA+U) gives the simulated X-ray powder pattern in this record (a wavelength of 1.5418 Å).
Intensities are scaled so that the largest is 100.

Crystal structure
```
data_Ac2PuCrO8
_chemical_formula_sum 'Ac2 Pu1 Cr1 O8'
_cell_length_a 4.592
_cell_length_b 5.452
_cell_length_c 7.780
_cell_angle_alpha 81.65
_cell_angle_beta 86.39
_cell_angle_gamma 80.89
_space_group_name_H-M_alt 'P -1'
_space_group_IT_number 2
_space_group_name_Hall '-P 1'
loop_
_atom_site_label
_atom_site_type_symbol
_atom_site_fract_x
_atom_site_fract_y
_atom_site_fract_z
Ac1 Ac 0.044 0.056 0.238
Pu1 Pu 0.500 0.500 0.500
Cr1 Cr 0.500 0.500 0.000
O1 O 0.114 0.711 0.506
O2 O 0.179 0.753 0.032
O3 O 0.397 0.221 0.659
O4 O 0.456 0.337 0.246
```

Top 8 peaks for 5 to 70 degrees two-theta, in order of falling intensity:
hkl	two_theta	I/Imax
1 1 0	23.8	100
0 1 2	26.7	88
1 -1 0	27.7	75
1 0 2	29.9	56
0 1 -2	30.5	50
1 0 -2	31.1	36
0 1 -1	21.5	35
0 0 1	11.5	29



For Ac2CrRhO6, a structure optimized by DFT (GGA+U) gives the simulated X-ray powder pattern in this record (a wavelength of 1.5418 Å).
Intensities are scaled so that the largest is 100.

Crystal structure
```
data_Ac2CrRhO6
_chemical_formula_sum 'Ac2 Cr1 Rh1 O6'
_cell_length_a 5.671
_cell_length_b 5.671
_cell_length_c 4.029
_cell_angle_alpha 90.00
_cell_angle_beta 90.00
_cell_angle_gamma 90.00
_space_group_name_H-M_alt 'P 4/m m m'
_space_group_IT_number 123
_space_group_name_Hall '-P 4 2'
loop_
_atom_site_label
_atom_site_type_symbol
_atom_site_fract_x
_atom_site_fract_y
_atom_site_fract_z
Ac1 Ac 0.000 0.500 0.000
Cr1 Cr 0.000 0.000 0.500
Rh1 Rh 0.500 0.500 0.500
O1 O 0.000 0.000 0.000
O2 O 0.247 0.247 0.500
O3 O 0.500 0.500 0.000
```

Top 8 peaks for 5 to 70 degrees two-theta, in order of falling intensity:
hkl	two_theta	I/Imax
2 0 0	31.5	100
3 1 1	56.1	27
2 2 0	45.2	18
2 0 1	38.8	17
1 1 0	22.2	14
2 0 2	56.0	14
2 2 2	65.7	12
0 0 2	45.0	9



For AcCrSeO2, a structure optimized by DFT (GGA+U) gives the simulated X-ray powder pattern in this record (a wavelength of 1.5418 Å).
Intensities are scaled so that the largest is 100.

Crystal structure
```
data_AcCrSeO2
_chemical_formula_sum 'Ac4 Cr4 Se4 O8'
_cell_length_a 5.951
_cell_length_b 11.789
_cell_length_c 5.673
_cell_angle_alpha 90.00
_cell_angle_beta 90.00
_cell_angle_gamma 90.00
_space_group_name_H-M_alt 'C m c m'
_space_group_IT_number 63
_space_group_name_Hall '-C 2c 2'
loop_
_atom_site_label
_atom_site_type_symbol
_atom_site_fract_x
_atom_site_fract_y
_atom_site_fract_z
Ac1 Ac 0.000 0.123 0.250
Cr1 Cr 0.000 0.488 0.750
Se1 Se 0.000 0.272 0.750
O1 O 0.235 0.500 0.000
```

Top 8 peaks for 5 to 70 degrees two-theta, in order of falling intensity:
hkl	two_theta	I/Imax
0 2 1	21.7	100
0 0 2	31.5	97
2 2 1	37.4	51
2 0 2	44.1	38
2 0 0	30.0	37
1 5 1	44.3	30
1 3 0	27.2	28
1 5 0	41.2	23



For Ac2CrSiO6, a structure optimized by DFT (GGA+U) gives the simulated X-ray powder pattern in this record (a wavelength of 1.5418 Å).
Intensities are scaled so that the largest is 100.

Crystal structure
```
data_Ac2CrSiO6
_chemical_formula_sum 'Ac2 Cr1 Si1 O6'
_cell_length_a 5.416
_cell_length_b 5.416
_cell_length_c 4.491
_cell_angle_alpha 90.00
_cell_angle_beta 90.00
_cell_angle_gamma 90.00
_space_group_name_H-M_alt 'P 4 m m'
_space_group_IT_number 99
_space_group_name_Hall 'P 4 -2'
loop_
_atom_site_label
_atom_site_type_symbol
_atom_site_fract_x
_atom_site_fract_y
_atom_site_fract_z
Ac1 Ac 0.000 0.500 0.000
Cr1 Cr 0.000 0.000 0.545
Si1 Si 0.500 0.500 0.521
O1 O 0.000 0.000 0.062
O2 O 0.275 0.275 0.608
O3 O 0.500 0.500 0.144
```

Top 8 peaks for 5 to 70 degrees two-theta, in order of falling intensity:
hkl	two_theta	I/Imax
1 1 1	30.7	100
2 0 1	38.8	41
2 0 0	33.1	41
1 1 0	23.2	40
3 1 1	57.6	34
0 0 1	19.8	32
2 0 2	53.0	23
2 2 0	47.5	23



For Sr2AcCrO6, a structure optimized by DFT (GGA+U) gives the simulated X-ray powder pattern in this record (a wavelength of 1.5418 Å).
Intensities are scaled so that the largest is 100.

Crystal structure
```
data_Sr2AcCrO6
_chemical_formula_sum 'Sr2 Ac1 Cr1 O6'
_cell_length_a 5.757
_cell_length_b 5.757
_cell_length_c 5.205
_cell_angle_alpha 90.00
_cell_angle_beta 90.00
_cell_angle_gamma 90.00
_space_group_name_H-M_alt 'P 4 m m'
_space_group_IT_number 99
_space_group_name_Hall 'P 4 -2'
loop_
_atom_site_label
_atom_site_type_symbol
_atom_site_fract_x
_atom_site_fract_y
_atom_site_fract_z
Sr1 Sr 0.000 0.500 0.000
Ac1 Ac 0.000 0.000 0.572
Cr1 Cr 0.500 0.500 0.607
O1 O 0.000 0.000 0.115
O2 O 0.283 0.283 0.721
O3 O 0.500 0.500 0.284
```

Top 8 peaks for 5 to 70 degrees two-theta, in order of falling intensity:
hkl	two_theta	I/Imax
1 1 1	27.8	100
2 0 0	31.1	38
3 1 1	53.3	33
1 0 0	15.4	24
2 0 2	47.1	24
2 2 0	44.5	22
1 0 1	23.0	18
0 0 1	17.0	16



For SrAcCr2O8, a structure optimized by DFT (GGA+U) gives the simulated X-ray powder pattern in this record (a wavelength of 1.5418 Å).
Intensities are scaled so that the largest is 100.

Crystal structure
```
data_SrAcCr2O8
_chemical_formula_sum 'Sr2 Ac2 Cr4 O16'
_cell_length_a 7.649
_cell_length_b 7.649
_cell_length_c 6.683
_cell_angle_alpha 90.00
_cell_angle_beta 90.00
_cell_angle_gamma 90.00
_space_group_name_H-M_alt 'I -4 m 2'
_space_group_IT_number 119
_space_group_name_Hall 'I -4 -2'
loop_
_atom_site_label
_atom_site_type_symbol
_atom_site_fract_x
_atom_site_fract_y
_atom_site_fract_z
Sr1 Sr 0.000 0.000 0.000
Ac1 Ac 0.000 0.500 0.250
Cr1 Cr 0.000 0.000 0.500
Cr2 Cr 0.000 0.500 0.750
O1 O 0.000 0.179 0.342
O2 O 0.000 0.328 0.903
```

Top 8 peaks for 5 to 70 degrees two-theta, in order of falling intensity:
hkl	two_theta	I/Imax
2 0 0	23.3	100
1 1 2	31.5	72
3 1 2	46.3	58
1 0 1	17.6	42
2 2 0	33.1	23
2 1 1	29.3	20
1 1 0	16.4	19
3 2 1	44.8	17



For Ac2TaCrO8, a structure optimized by DFT (GGA+U) gives the simulated X-ray powder pattern in this record (a wavelength of 1.5418 Å).
Intensities are scaled so that the largest is 100.

Crystal structure
```
data_Ac2TaCrO8
_chemical_formula_sum 'Ac2 Ta1 Cr1 O8'
_cell_length_a 5.627
_cell_length_b 6.033
_cell_length_c 6.195
_cell_angle_alpha 77.18
_cell_angle_beta 68.28
_cell_angle_gamma 76.78
_space_group_name_H-M_alt 'P -1'
_space_group_IT_number 2
_space_group_name_Hall '-P 1'
loop_
_atom_site_label
_atom_site_type_symbol
_atom_site_fract_x
_atom_site_fract_y
_atom_site_fract_z
Ac1 Ac 0.109 0.195 0.164
Ta1 Ta 0.500 0.500 0.500
Cr1 Cr 0.500 0.000 0.500
O1 O 0.248 0.482 0.821
O2 O 0.285 0.984 0.800
O3 O 0.288 0.819 0.430
O4 O 0.309 0.303 0.419
```

Top 8 peaks for 5 to 70 degrees two-theta, in order of falling intensity:
hkl	two_theta	I/Imax
1 1 1	20.9	100
1 2 0	32.9	80
0 1 -1	23.5	74
1 0 -1	27.0	70
1 -1 0	24.9	52
1 0 2	30.4	43
0 2 1	32.4	36
0 0 3	48.0	34



For Ac3Zn2CrO8, a structure optimized by DFT (GGA+U) gives the simulated X-ray powder pattern in this record (a wavelength of 1.5418 Å).
Intensities are scaled so that the largest is 100.

Crystal structure
```
data_Ac3Zn2CrO8
_chemical_formula_sum 'Ac3 Zn2 Cr1 O8'
_cell_length_a 5.6855
_cell_length_b 5.6855
_cell_length_c 7.2564
_cell_angle_alpha 90.00
_cell_angle_beta 90.00
_cell_angle_gamma 120.00
_space_group_name_H-M_alt 'P -3 m 1'
_space_group_IT_number 164
_space_group_name_Hall '-P 3 2"'
loop_
_atom_site_label
_atom_site_type_symbol
_atom_site_fract_x
_atom_site_fract_y
_atom_site_fract_z
Ac1 Ac 0.0000 0.0000 0.0000
Ac2 Ac 0.3333 0.6667 0.6313
Zn1 Zn 0.3333 0.6667 0.1946
Cr1 Cr 0.0000 0.0000 0.5000
O1 O 0.1591 0.3182 0.3275
O2 O 0.3333 0.6667 0.9410
```

Top 8 peaks for 5 to 70 degrees two-theta, in order of falling intensity:
hkl	two_theta	I/Imax
1 1 0	31.5	100
0 1 2	30.6	81
1 0 1	21.8	59
2 0 2	44.5	41
1 2 2	55.5	32
0 2 1	38.6	24
3 0 0	56.0	20
1 0 4	53.9	15